This entry pairs a crystal structure of PmUCu2O8 with its simulated powder diffraction line list. Radiation: CuKα. Structure: a GGA-PBE-relaxed structure.
No peak broadening, texture or thermal motion is included.

Structure:
```
data_PmUCu2O8
_chemical_formula_sum 'Pm1 U1 Cu2 O8'
_cell_length_a 6.435
_cell_length_b 6.435
_cell_length_c 6.435
_cell_angle_alpha 131.29
_cell_angle_beta 131.29
_cell_angle_gamma 71.35
_symmetry_space_group_name_H-M 'P 1'
_symmetry_Int_Tables_number 1
_symmetry_space_group_name_Hall 'P 1'
loop_
_atom_site_label
_atom_site_type_symbol
_atom_site_fract_x
_atom_site_fract_y
_atom_site_fract_z
Pm1 Pm 0.000 0.000 0.000
U1 U 0.250 0.750 0.500
Cu1 Cu 0.500 0.500 0.000
Cu2 Cu 0.750 0.250 0.500
O1 O 0.016 0.383 0.977
O2 O 0.224 0.446 0.576
O3 O 0.352 0.776 0.222
O4 O 0.407 0.039 0.023
O5 O 0.554 0.130 0.778
O6 O 0.617 0.593 0.633
O7 O 0.870 0.648 0.424
O8 O 0.961 0.984 0.367
```

Most intense lines, 10 to 90 degrees two-theta, sorted by position:
- 18.75°, I = 39.9
- 29.30°, I = 100.0
- 33.78°, I = 31.0
- 34.31°, I = 23.6
- 38.91°, I = 15.5
- 46.28°, I = 10.1
- 48.52°, I = 14.9
- 48.91°, I = 24.8
- 57.69°, I = 38.8
- 58.39°, I = 16.3
- 60.77°, I = 14.8
- 79.25°, I = 13.3